Entry 1:
TmBeAlCu6: calculated X-ray powder pattern (λ = 1.5418 Å (Cu Kα)), based on a crystal structure in Alexandria, relaxed with PBE.
Peak positions follow from Bragg's law for the DFT cell and can differ from measured ones.

Crystal structure
```
TmBeAlCu6
1.0
-3.104 4.049 5.191
3.104 -4.049 5.191
3.104 4.049 -5.191
Tm Be Al Cu
2 2 2 12
Direct
0.459 0.209 0.250
0.541 0.791 0.750
0.000 0.000 0.000
0.500 0.000 0.500
0.000 0.000 0.500
0.000 0.500 0.000
0.121 0.419 0.301
0.121 0.821 0.702
0.183 0.933 0.250
0.252 0.502 0.750
0.382 0.179 0.801
0.382 0.581 0.202
0.618 0.419 0.798
0.618 0.821 0.199
0.748 0.498 0.250
0.817 0.067 0.750
0.879 0.179 0.298
0.879 0.581 0.699
```

Most intense lines, 2θ = 10–90°, in order of falling intensity:
2θ (°), d_spacing, Rel. int.
36.5, 2.463, 100
41.3, 2.185, 55
13.9, 6.385, 47
44.8, 2.024, 42
37.1, 2.422, 39
39.2, 2.296, 30
32.1, 2.792, 29
40.6, 2.222, 27
45.6, 1.991, 26
28.0, 3.184, 25



Entry 2:
DyBeAl3Ni: calculated X-ray powder pattern (λ = 1.5418 Å (Cu Kα)), based on a crystal structure in Alexandria, relaxed with PBE.
Peak positions follow from Bragg's law for the DFT cell and can differ from measured ones.

Crystal structure
```
DyBeAl3Ni
1.0
3.050 -5.916 0.000
3.050 5.916 0.000
0.000 0.000 5.582
Dy Be Al Ni
2 2 6 2
Direct
0.219 0.781 0.750
0.781 0.219 0.250
0.146 0.854 0.250
0.854 0.146 0.750
0.208 0.208 0.000
0.208 0.208 0.500
0.355 0.645 0.250
0.645 0.355 0.750
0.792 0.792 0.000
0.792 0.792 0.500
0.436 0.564 0.750
0.564 0.436 0.250
```

Most intense lines, 2θ = 10–90°, in order of falling intensity:
2θ (°), d_spacing, Rel. int.
22.9, 3.889, 100
44.0, 2.059, 34
34.3, 2.614, 26
29.3, 3.050, 25
44.1, 2.052, 24
45.7, 1.985, 23
33.0, 2.711, 20
32.1, 2.791, 19
35.6, 2.524, 18
40.9, 2.206, 14



Entry 3:
ErBeAl3: calculated X-ray powder pattern (λ = 1.5418 Å (Cu Kα)), based on a crystal structure in Alexandria, relaxed with PBE.
Peak positions follow from Bragg's law for the DFT cell and can differ from measured ones.

Crystal structure
```
ErBeAl3
1.0
2.036 -11.453 0.000
2.036 11.453 0.000
0.000 0.000 3.910
Er Be Al
2 2 6
Direct
0.165 0.835 0.000
0.835 0.165 0.000
0.382 0.618 0.500
0.618 0.382 0.500
0.058 0.942 0.500
0.282 0.718 0.500
0.442 0.558 0.000
0.558 0.442 0.000
0.718 0.282 0.500
0.942 0.058 0.500
```

Most intense lines, 2θ = 10–90°, in order of falling intensity:
2θ (°), d_spacing, Rel. int.
33.9, 2.646, 100
24.8, 3.593, 54
32.8, 2.732, 39
22.7, 3.910, 26
53.4, 1.716, 25
41.9, 2.158, 25
23.3, 3.818, 21
27.6, 3.229, 20
37.4, 2.402, 20
15.5, 5.727, 19



Entry 4:
ErBeAlO4: calculated X-ray powder pattern (λ = 1.5418 Å (Cu Kα)), based on a crystal structure in Alexandria, relaxed with PBE.
Peak positions follow from Bragg's law for the DFT cell and can differ from measured ones.

Crystal structure
```
ErBeAlO4
1.0
-2.836 3.562 4.283
2.836 -3.562 4.283
2.836 3.562 -4.283
Er Be Al O
2 2 2 8
Direct
0.000 0.000 0.000
0.500 0.000 0.500
0.293 0.543 0.750
0.707 0.457 0.250
0.000 0.000 0.500
0.000 0.500 0.000
0.175 0.249 0.927
0.178 0.751 0.427
0.249 0.249 0.500
0.249 0.748 0.000
0.751 0.252 0.000
0.751 0.751 0.500
0.822 0.249 0.573
0.825 0.751 0.073
```

Most intense lines, 2θ = 10–90°, in order of falling intensity:
2θ (°), d_spacing, Rel. int.
18.8, 4.730, 100
31.4, 2.845, 66
20.7, 4.283, 32
40.7, 2.219, 32
43.6, 2.074, 26
35.2, 2.551, 22
60.0, 1.541, 19
56.1, 1.640, 19
32.7, 2.739, 18
42.2, 2.142, 17



Entry 5:
BeAlFe: calculated X-ray powder pattern (λ = 1.5418 Å (Cu Kα)), based on a crystal structure in Alexandria, relaxed with PBE.
Peak positions follow from Bragg's law for the DFT cell and can differ from measured ones.

Crystal structure
```
BeAlFe
1.0
3.856 0.000 0.000
-1.928 3.339 0.000
0.000 0.000 2.538
Be Al Fe
1 1 1
Direct
0.000 0.000 0.000
0.667 0.333 0.708
0.333 0.667 0.276
```

Most intense lines, 2θ = 10–90°, in order of falling intensity:
2θ (°), d_spacing, Rel. int.
44.9, 2.021, 100
26.7, 3.339, 79
47.1, 1.928, 62
67.1, 1.395, 28
86.0, 1.130, 27
81.1, 1.186, 10
87.7, 1.113, 10
55.0, 1.670, 10
60.3, 1.535, 7
35.4, 2.538, 7



Entry 6:
Ta2Be2AlFe5: calculated X-ray powder pattern (λ = 1.5418 Å (Cu Kα)), based on a crystal structure in Alexandria, relaxed with PBE.
Peak positions follow from Bragg's law for the DFT cell and can differ from measured ones.

Crystal structure
```
Ta2Be2AlFe5
1.0
8.694 0.000 0.000
0.000 8.694 0.000
0.000 0.000 3.052
Ta Be Al Fe
4 4 2 10
Direct
0.176 0.324 0.000
0.324 0.824 0.000
0.676 0.176 0.000
0.824 0.676 0.000
0.121 0.621 0.000
0.379 0.121 0.000
0.621 0.879 0.000
0.879 0.379 0.000
0.000 0.000 0.000
0.500 0.500 0.000
0.000 0.500 0.500
0.067 0.787 0.500
0.213 0.067 0.500
0.287 0.567 0.500
0.433 0.287 0.500
0.500 0.000 0.500
0.567 0.713 0.500
0.713 0.433 0.500
0.787 0.933 0.500
0.933 0.213 0.500
```

Most intense lines, 2θ = 10–90°, in order of falling intensity:
2θ (°), d_spacing, Rel. int.
37.5, 2.401, 100
42.9, 2.109, 74
44.3, 2.043, 61
22.9, 3.888, 59
44.2, 2.049, 30
36.0, 2.498, 28
20.4, 4.347, 27
77.2, 1.236, 25
41.7, 2.166, 21
76.8, 1.241, 16



Entry 7:
BeAlGaO4: calculated X-ray powder pattern (λ = 1.5418 Å (Cu Kα)), based on a crystal structure in Alexandria, relaxed with PBE.
Peak positions follow from Bragg's law for the DFT cell and can differ from measured ones.

Crystal structure
```
BeAlGaO4
1.0
2.670 -4.076 0.000
2.670 4.076 0.000
0.000 0.000 5.779
Be Al Ga O
2 2 2 8
Direct
0.159 0.841 0.750
0.841 0.159 0.250
0.500 0.500 0.000
0.500 0.500 0.500
0.158 0.842 0.250
0.842 0.158 0.750
0.232 0.262 0.250
0.262 0.232 0.750
0.271 0.729 0.525
0.271 0.729 0.975
0.729 0.271 0.025
0.729 0.271 0.475
0.738 0.768 0.250
0.768 0.738 0.750
```

Most intense lines, 2θ = 10–90°, in order of falling intensity:
2θ (°), d_spacing, Rel. int.
37.1, 2.425, 100
25.2, 3.535, 71
33.6, 2.670, 38
26.8, 3.331, 37
51.7, 1.768, 32
43.4, 2.084, 31
66.1, 1.413, 28
62.3, 1.490, 21
40.4, 2.234, 20
55.1, 1.666, 18



Entry 8:
BeAlGaS4: calculated X-ray powder pattern (λ = 1.5418 Å (Cu Kα)), based on a crystal structure in Alexandria, relaxed with PBE.
Peak positions follow from Bragg's law for the DFT cell and can differ from measured ones.

Crystal structure
```
BeAlGaS4
1.0
-2.598 2.598 5.072
2.598 -2.598 5.072
2.598 2.598 -5.072
Be Al Ga S
1 1 1 4
Direct
0.000 0.000 0.000
0.750 0.250 0.500
0.250 0.750 0.500
0.124 0.641 0.995
0.359 0.354 0.483
0.646 0.130 0.005
0.870 0.876 0.517
```

Most intense lines, 2θ = 10–90°, in order of falling intensity:
2θ (°), d_spacing, Rel. int.
30.0, 2.976, 100
50.3, 1.815, 40
24.2, 3.675, 26
59.1, 1.563, 25
49.6, 1.837, 22
19.2, 4.625, 21
38.9, 2.313, 21
17.5, 5.072, 18
43.4, 2.087, 12
60.3, 1.536, 11



Entry 9:
BeAlGaSe4: calculated X-ray powder pattern (λ = 1.5418 Å (Cu Kα)), based on a crystal structure in Alexandria, relaxed with PBE.
Peak positions follow from Bragg's law for the DFT cell and can differ from measured ones.

Crystal structure
```
BeAlGaSe4
1.0
-2.735 2.735 5.381
2.735 -2.735 5.381
2.735 2.735 -5.381
Be Al Ga Se
1 1 1 4
Direct
0.000 0.000 0.000
0.750 0.250 0.500
0.250 0.750 0.500
0.134 0.638 0.996
0.362 0.357 0.496
0.643 0.138 0.004
0.862 0.866 0.504
```

Most intense lines, 2θ = 10–90°, in order of falling intensity:
2θ (°), d_spacing, Rel. int.
28.4, 3.141, 100
47.4, 1.918, 36
55.8, 1.647, 29
47.0, 1.934, 20
32.7, 2.735, 14
87.6, 1.114, 12
56.6, 1.627, 11
36.9, 2.438, 10
76.5, 1.245, 9
23.0, 3.868, 7



Entry 10:
GdLuBeAl: calculated X-ray powder pattern (λ = 1.5418 Å (Cu Kα)), based on a crystal structure in Alexandria, relaxed with PBE.
Peak positions follow from Bragg's law for the DFT cell and can differ from measured ones.

Crystal structure
```
GdLuBeAl
1.0
0.000 3.499 3.499
3.499 0.000 3.499
3.499 3.499 0.000
Gd Lu Be Al
1 1 1 1
Direct
0.000 0.000 0.000
0.500 0.500 0.500
0.750 0.750 0.750
0.250 0.250 0.250
```

Most intense lines, 2θ = 10–90°, in order of falling intensity:
2θ (°), d_spacing, Rel. int.
36.3, 2.474, 100
25.5, 3.499, 83
65.3, 1.428, 36
59.0, 1.565, 33
44.9, 2.020, 25
52.3, 1.749, 18
88.3, 1.106, 17
82.8, 1.166, 16
77.1, 1.237, 11
22.0, 4.040, 1



Entry 11:
Be2AlHgGe: calculated X-ray powder pattern (λ = 1.5418 Å (Cu Kα)), based on a crystal structure in Alexandria, relaxed with PBE.
Peak positions follow from Bragg's law for the DFT cell and can differ from measured ones.

Crystal structure
```
Be2AlHgGe
1.0
4.418 0.000 0.000
0.000 4.418 0.000
0.000 0.000 5.156
Be Al Hg Ge
2 1 1 1
Direct
0.000 0.500 0.000
0.500 0.000 0.000
0.000 0.000 0.500
0.000 0.000 0.000
0.500 0.500 0.500
```

Most intense lines, 2θ = 10–90°, in order of falling intensity:
2θ (°), d_spacing, Rel. int.
26.6, 3.355, 100
28.6, 3.124, 57
49.4, 1.845, 38
20.1, 4.418, 36
45.6, 1.988, 33
40.9, 2.209, 26
54.7, 1.677, 22
34.8, 2.578, 20
80.6, 1.192, 16
77.8, 1.228, 14